Entry 1:
This entry pairs a crystal structure of NaH8Rh4 with its calculated X-ray powder pattern. Radiation: CuKα. Structure: a cell relaxed with PBE.
Neutral-atom scattering factors, no anomalous dispersion.

Structure:
abc: 5.529 5.575 5.575
angles: 60.03 75.57 76.19
Space group P-1 (No. 2)
Asymmetric unit:
Na (0.000, 0.000, 0.000) [1 per cell]
H (0.331, 0.609, 0.613) [2 per cell]
H (0.337, 0.604, 0.113) [2 per cell]
H (0.338, 0.110, 0.607) [2 per cell]
H (0.339, 0.110, 0.113) [2 per cell]
Rh (0.496, 0.750, 0.750) [2 per cell]
Rh (0.500, 0.251, 0.749) [2 per cell]

Peak list (6 most intense, 2θ = 15–90°, most intense first)
| 2theta | d [Å] | I_rel |
| --- | --- | --- |
| 16.71 | 5.305 | 100 |
| 38.91 | 2.315 | 27 |
| 37.73 | 2.384 | 24 |
| 33.79 | 2.652 | 20 |
| 39.15 | 2.301 | 13 |
| 37.60 | 2.392 | 12 |


Entry 2:
This entry pairs a crystal structure of Na3H3Rh with its calculated X-ray powder pattern. Radiation: CuKα. Structure: a cell relaxed with PBE.
Neutral-atom scattering factors, no anomalous dispersion.

Structure:
abc: 6.266 4.773 6.274
angles: 90.00 91.19 90.00
Space group P2_1/m (No. 11)
Asymmetric unit:
Na (0.091, 0.250, 0.334) [2 per cell]
Na (0.334, 0.750, 0.090) [2 per cell]
Na (0.367, 0.750, 0.632) [2 per cell]
H (0.058, 0.750, 0.331) [2 per cell]
H (0.331, 0.250, 0.057) [2 per cell]
H (0.338, 0.250, 0.663) [2 per cell]
Rh (0.149, 0.250, 0.850) [2 per cell]

Peak list (6 most intense, 2θ = 15–90°, most intense first)
| 2theta | d [Å] | I_rel |
| --- | --- | --- |
| 34.22 | 2.620 | 100 |
| 23.43 | 3.798 | 37 |
| 20.24 | 4.387 | 26 |
| 37.69 | 2.387 | 23 |
| 37.43 | 2.403 | 22 |
| 27.30 | 3.266 | 20 |


Entry 3:
This entry pairs a crystal structure of Na2Sb3H2Rh5 with its calculated X-ray powder pattern. Radiation: CuKα. Structure: a cell relaxed with PBE.
Neutral-atom scattering factors, no anomalous dispersion.

Structure:
abc: 4.099 4.099 23.534
angles: 90.00 90.00 90.00
Space group I4/mmm (No. 139)
Asymmetric unit:
Na (0.000, 0.000, 0.201) [4 per cell]
Sb (0.000, 0.000, 0.342) [4 per cell]
Sb (0.000, 0.000, 0.500) [2 per cell]
H (0.000, 0.000, 0.080) [4 per cell]
Rh (0.000, 0.000, 0.000) [2 per cell]
Rh (0.000, 0.500, 0.086) [8 per cell]

Peak list (6 most intense, 2θ = 15–90°, most intense first)
| 2theta | d [Å] | I_rel |
| --- | --- | --- |
| 38.63 | 2.331 | 100 |
| 44.19 | 2.049 | 38 |
| 34.50 | 2.600 | 28 |
| 77.57 | 1.231 | 25 |
| 65.92 | 1.417 | 16 |
| 24.50 | 3.633 | 14 |


Entry 4:
This entry pairs a crystal structure of Na2SmH8Rh with its calculated X-ray powder pattern. Radiation: CuKα. Structure: a cell relaxed with PBE.
Neutral-atom scattering factors, no anomalous dispersion.

Structure:
abc: 4.7739 4.7739 6.1872
angles: 90.00 90.00 120.00
Space group P-3m1 (No. 164)
Asymmetric unit:
Na (0.3333, 0.6667, 0.3627) [2 per cell]
Sm (0.0000, 0.0000, 0.0000) [1 per cell]
H (0.1583, 0.3166, 0.6673) [6 per cell]
H (0.3333, 0.6667, 0.0075) [2 per cell]
Rh (0.0000, 0.0000, 0.5000) [1 per cell]

Peak list (6 most intense, 2θ = 15–90°, most intense first)
| 2theta | d [Å] | I_rel |
| --- | --- | --- |
| 21.49 | 4.134 | 100 |
| 36.27 | 2.477 | 66 |
| 37.69 | 2.387 | 40 |
| 48.15 | 1.890 | 27 |
| 53.30 | 1.719 | 22 |
| 67.11 | 1.395 | 22 |


Entry 5:
This entry pairs a crystal structure of Na2H7Ru2 with its calculated X-ray powder pattern. Radiation: CuKα. Structure: a cell relaxed with PBE.
Neutral-atom scattering factors, no anomalous dispersion.

Structure:
abc: 5.902 6.521 4.992
angles: 90.00 90.00 90.00
Space group Cmmm (No. 65)
Asymmetric unit:
Na (0.238, 0.000, 0.000) [4 per cell]
H (0.000, 0.000, 0.500) [2 per cell]
H (0.000, 0.500, 0.325) [4 per cell]
H (0.250, 0.250, 0.299) [8 per cell]
Ru (0.000, 0.265, 0.500) [4 per cell]

Peak list (6 most intense, 2θ = 15–90°, most intense first)
| 2theta | d [Å] | I_rel |
| --- | --- | --- |
| 32.81 | 2.730 | 100 |
| 17.77 | 4.992 | 99 |
| 35.33 | 2.540 | 85 |
| 41.26 | 2.188 | 49 |
| 55.88 | 1.645 | 43 |
| 35.98 | 2.496 | 39 |


Entry 6:
This entry pairs a crystal structure of Na5H12Ru2 with its calculated X-ray powder pattern. Radiation: CuKα. Structure: a cell relaxed with PBE.
Neutral-atom scattering factors, no anomalous dispersion.

Structure:
abc: 6.349 7.658 7.805
angles: 90.00 90.00 90.00
Space group Immm (No. 71)
Asymmetric unit:
Na (0.000, 0.000, 0.000) [2 per cell]
Na (0.000, 0.278, 0.278) [8 per cell]
H (0.000, 0.104, 0.500) [4 per cell]
H (0.000, 0.500, 0.102) [4 per cell]
H (0.227, 0.000, 0.278) [8 per cell]
H (0.227, 0.273, 0.000) [8 per cell]
Ru (0.250, 0.000, 0.500) [4 per cell]

Peak list (6 most intense, 2θ = 15–90°, most intense first)
| 2theta | d [Å] | I_rel |
| --- | --- | --- |
| 16.22 | 5.466 | 100 |
| 32.62 | 2.745 | 53 |
| 32.77 | 2.733 | 47 |
| 36.48 | 2.463 | 40 |
| 36.78 | 2.444 | 26 |
| 46.67 | 1.946 | 17 |


Entry 7:
This entry pairs a crystal structure of NaHS3 with its calculated X-ray powder pattern. Radiation: CuKα. Structure: a cell relaxed with PBE.
Neutral-atom scattering factors, no anomalous dispersion.

Structure:
abc: 4.866 8.941 5.117
angles: 90.00 112.02 90.00
Space group P2_1 (No. 4)
Asymmetric unit:
Na (0.210, 0.000, 0.194) [2 per cell]
H (0.124, 0.336, 0.395) [2 per cell]
S (0.065, 0.729, 0.537) [2 per cell]
S (0.358, 0.466, 0.251) [2 per cell]
S (0.454, 0.785, 0.873) [2 per cell]

Peak list (6 most intense, 2θ = 15–90°, most intense first)
| 2theta | d [Å] | I_rel |
| --- | --- | --- |
| 29.43 | 3.035 | 100 |
| 21.20 | 4.191 | 39 |
| 32.10 | 2.788 | 28 |
| 43.18 | 2.095 | 18 |
| 45.02 | 2.014 | 17 |
| 23.72 | 3.752 | 16 |


Entry 8:
This entry pairs a crystal structure of Na2H3Se with its calculated X-ray powder pattern. Radiation: CuKα. Structure: a cell relaxed with PBE.
Neutral-atom scattering factors, no anomalous dispersion.

Structure:
abc: 6.832 7.008 4.883
angles: 90.00 134.16 90.00
Space group C2/m (No. 12)
Asymmetric unit:
Na (0.000, 0.250, 0.000) [4 per cell]
H (0.000, 0.000, 0.500) [2 per cell]
H (0.148, 0.000, 0.499) [4 per cell]
Se (0.000, 0.500, 0.500) [2 per cell]

Peak list (6 most intense, 2θ = 15–90°, most intense first)
| 2theta | d [Å] | I_rel |
| --- | --- | --- |
| 22.16 | 4.011 | 100 |
| 36.72 | 2.448 | 58 |
| 36.26 | 2.477 | 43 |
| 42.89 | 2.109 | 27 |
| 36.83 | 2.441 | 19 |
| 52.22 | 1.752 | 14 |


Entry 9:
This entry pairs a crystal structure of Na4HSe with its calculated X-ray powder pattern. Radiation: CuKα. Structure: a cell relaxed with PBE.
Neutral-atom scattering factors, no anomalous dispersion.

Structure:
abc: 4.722 4.722 6.713
angles: 90.00 90.00 90.00
Space group P4/mmm (No. 123)
Asymmetric unit:
Na (0.000, 0.500, 0.236) [4 per cell]
H (0.000, 0.000, 0.000) [1 per cell]
Se (0.500, 0.500, 0.500) [1 per cell]

Peak list (6 most intense, 2θ = 15–90°, most intense first)
| 2theta | d [Å] | I_rel |
| --- | --- | --- |
| 38.01 | 2.367 | 100 |
| 23.03 | 3.862 | 80 |
| 18.79 | 4.722 | 59 |
| 38.12 | 2.361 | 50 |
| 29.89 | 2.989 | 46 |
| 68.82 | 1.364 | 31 |


Entry 10:
This entry pairs a crystal structure of Na3H4Se with its calculated X-ray powder pattern. Radiation: CuKα. Structure: a cell relaxed with PBE.
Neutral-atom scattering factors, no anomalous dispersion.

Structure:
abc: 15.930 3.820 4.853
angles: 90.00 90.54 90.00
Space group C2/m (No. 12)
Asymmetric unit:
Na (0.000, 0.000, 0.000) [2 per cell]
Na (0.143, 0.000, 0.504) [4 per cell]
H (0.203, 0.500, 0.078) [4 per cell]
H (0.203, 0.500, 0.917) [4 per cell]
Se (0.000, 0.500, 0.500) [2 per cell]

Peak list (6 most intense, 2θ = 15–90°, most intense first)
| 2theta | d [Å] | I_rel |
| --- | --- | --- |
| 18.28 | 4.853 | 100 |
| 34.41 | 2.606 | 99 |
| 34.23 | 2.619 | 99 |
| 30.30 | 2.949 | 62 |
| 28.79 | 3.101 | 61 |
| 37.05 | 2.426 | 42 |


Entry 11:
This entry pairs a crystal structure of Na3H4Se4 with its calculated X-ray powder pattern. Radiation: CuKα. Structure: a cell relaxed with PBE.
Neutral-atom scattering factors, no anomalous dispersion.

Structure:
abc: 3.716 4.522 14.523
angles: 91.41 97.33 90.00
Space group P1 (No. 1)
Asymmetric unit:
Na (0.000, 0.000, 0.000) [1 per cell]
Na (0.137, 0.591, 0.276) [1 per cell]
Na (0.306, 0.785, 0.617) [1 per cell]
H (0.430, 0.483, 0.861) [1 per cell]
H (0.557, 0.207, 0.113) [1 per cell]
H (0.726, 0.381, 0.456) [1 per cell]
H (0.887, 0.269, 0.778) [1 per cell]
Se (0.482, 0.504, 0.964) [1 per cell]
Se (0.604, 0.091, 0.209) [1 per cell]
Se (0.720, 0.706, 0.442) [1 per cell]
Se (0.835, 0.288, 0.675) [1 per cell]

Peak list (6 most intense, 2θ = 15–90°, most intense first)
| 2theta | d [Å] | I_rel |
| --- | --- | --- |
| 32.70 | 2.739 | 100 |
| 34.69 | 2.586 | 89 |
| 24.73 | 3.600 | 67 |
| 24.15 | 3.686 | 52 |
| 22.97 | 3.872 | 47 |
| 23.49 | 3.787 | 44 |


Entry 12:
This entry pairs a crystal structure of NaH6Se2 with its calculated X-ray powder pattern. Radiation: CuKα. Structure: a cell relaxed with PBE.
Neutral-atom scattering factors, no anomalous dispersion.

Structure:
abc: 7.300 6.427 7.070
angles: 90.00 115.62 90.00
Space group C2/m (No. 12)
Asymmetric unit:
Na (0.000, 0.000, 0.000) [2 per cell]
H (0.000, 0.059, 0.500) [4 per cell]
H (0.023, 0.348, 0.604) [8 per cell]
Se (0.056, 0.500, 0.794) [4 per cell]

Peak list (6 most intense, 2θ = 15–90°, most intense first)
| 2theta | d [Å] | I_rel |
| --- | --- | --- |
| 19.30 | 4.599 | 100 |
| 28.86 | 3.093 | 77 |
| 27.10 | 3.290 | 47 |
| 27.76 | 3.213 | 44 |
| 41.04 | 2.199 | 32 |
| 39.80 | 2.265 | 29 |